Diffraction record for MgNp3Tl4Te8. The X-ray diffraction stick pattern is calculated, not measured: it uses a PBE-relaxed structure and Cu Kα, 1.54184 Å.
Peak positions follow from Bragg's law for the DFT cell and can differ from measured ones.

Largest 8 diffraction maxima, low angle first, 2θ from 10° to 90°:
- 27.3°, 3.263 Å, rel. 1000, hkl 0 2 4
- 37.6°, 2.395 Å, rel. 381, hkl 2 0 8
- 40.5°, 2.228 Å, rel. 369, hkl 2 2 0
- 49.5°, 1.840 Å, rel. 198, hkl 4 0 4
- 56.4°, 1.631 Å, rel. 124, hkl 0 4 8
- 61.7°, 1.503 Å, rel. 145, hkl 2 2 12
- 65.8°, 1.419 Å, rel. 214, hkl 2 4 4
- 71.7°, 1.316 Å, rel. 132, hkl 4 2 8

Crystal structure
Cell lengths 8.9128, 8.9128, 24.4372 Å; angles 90.00, 90.00, 120.00 degrees
Space group R-3m (No. 166, hexagonal axes)
One atom of each set of equivalent atoms:
Mg 0.0000 0.0000 0.0000 [3 per cell]
Np 0.0000 0.5000 0.0000 [9 per cell]
Tl 0.0000 0.0000 0.5000 [3 per cell]
Tl 0.0000 0.5000 0.5000 [9 per cell]
Te 0.0000 0.0000 0.2619 [6 per cell]
Te 0.0058 0.5029 0.7363 [18 per cell]

---

Diffraction record for Nd2ZrS4. The X-ray diffraction stick pattern is calculated, not measured: it uses a PBE-relaxed structure and Cu Kα, 1.54184 Å.
Peak positions follow from Bragg's law for the DFT cell and can differ from measured ones.

Largest 8 diffraction maxima, low angle first, 2θ from 10° to 90°:
- 18.8°, 4.726 Å, rel. 900, hkl 1 1 0
- 27.0°, 3.300 Å, rel. 876, hkl 0 2 0
- 27.4°, 3.252 Å, rel. 748, hkl 0 1 2
- 33.2°, 2.696 Å, rel. 979, hkl 1 1 2
- 33.4°, 2.684 Å, rel. 1000, hkl 2 1 -2
- 36.3°, 2.474 Å, rel. 610, hkl 1 2 -2
- 38.1°, 2.363 Å, rel. 576, hkl 2 2 0
- 46.7°, 1.944 Å, rel. 342, hkl 1 0 -4

Crystal structure
Cell lengths 7.033, 6.600, 7.777 Å; angles 90.00, 105.75, 90.00 degrees
Space group P2_1/m (No. 11)
One atom of each set of equivalent atoms:
Nd 0.205 0.250 0.056 [2 per cell]
Nd 0.218 0.250 0.552 [2 per cell]
Zr 0.273 0.750 0.820 [2 per cell]
S 0.002 0.504 0.254 [4 per cell]
S 0.474 0.750 0.615 [2 per cell]
S 0.484 0.750 0.124 [2 per cell]

---

Diffraction record for Na2Ga4Ag3. The X-ray diffraction stick pattern is calculated, not measured: it uses a PBE-relaxed structure and Cu Kα, 1.54184 Å.
Peak positions follow from Bragg's law for the DFT cell and can differ from measured ones.

Largest 8 diffraction maxima, low angle first, 2θ from 10° to 90°:
- 15.8°, 5.623 Å, rel. 239, hkl 0 2 1
- 19.9°, 4.463 Å, rel. 588, hkl 1 1 1
- 33.9°, 2.645 Å, rel. 457, hkl 1 5 1
- 38.8°, 2.323 Å, rel. 1000, hkl 2 0 2
- 40.7°, 2.215 Å, rel. 771, hkl 0 6 2
- 46.2°, 1.963 Å, rel. 720, hkl 0 0 4
- 67.4°, 1.389 Å, rel. 376, hkl 2 6 4
- 83.2°, 1.161 Å, rel. 247, hkl 4 0 4

Crystal structure
Cell lengths 5.758, 16.089, 7.862 Å; angles 90.00, 90.00, 90.00 degrees
Space group Cmce (No. 64)
One atom of each set of equivalent atoms:
Na 0.000 0.096 0.108 [8 per cell]
Ga 0.000 0.175 0.496 [8 per cell]
Ga 0.250 0.076 0.750 [8 per cell]
Ag 0.000 0.000 0.500 [4 per cell]
Ag 0.250 0.245 0.750 [8 per cell]

---

Diffraction record for Ba2Ag2Au15. The X-ray diffraction stick pattern is calculated, not measured: it uses a PBE-relaxed structure and Cu Kα, 1.54184 Å.
Peak positions follow from Bragg's law for the DFT cell and can differ from measured ones.

Largest 8 diffraction maxima, low angle first, 2θ from 10° to 90°:
- 18.1°, 4.904 Å, rel. 373, hkl 1 1 0
- 36.7°, 2.452 Å, rel. 485, hkl 2 2 0
- 36.8°, 2.440 Å, rel. 1000, hkl 0 3 3
- 37.4°, 2.406 Å, rel. 408, hkl 0 0 6
- 41.3°, 2.185 Å, rel. 948, hkl 2 2 3
- 41.8°, 2.160 Å, rel. 240, hkl 1 1 6
- 66.0°, 1.416 Å, rel. 273, hkl 6 0 0
- 67.1°, 1.396 Å, rel. 193, hkl 0 3 9

Crystal structure
Cell lengths 9.8074, 9.8074, 14.4358 Å; angles 90.00, 90.00, 120.00 degrees
Space group R-3m (No. 166, hexagonal axes)
One atom of each set of equivalent atoms:
Ba 0.0000 0.0000 0.1591 [6 per cell]
Ag 0.0000 0.0000 0.4035 [6 per cell]
Au 0.0000 0.2973 0.5000 [18 per cell]
Au 0.0000 0.5000 0.0000 [9 per cell]
Au 0.0017 0.5008 0.6529 [18 per cell]

---

Diffraction record for Ag6RhF12. The X-ray diffraction stick pattern is calculated, not measured: it uses a PBE-relaxed structure and Cu Kα, 1.54184 Å.
Peak positions follow from Bragg's law for the DFT cell and can differ from measured ones.

Largest 8 diffraction maxima, low angle first, 2θ from 10° to 90°:
- 27.0°, 3.302 Å, rel. 375, hkl 0 0 3
- 28.3°, 3.157 Å, rel. 1000, hkl 3 -1 1
- 32.4°, 2.764 Å, rel. 399, hkl 1 2 2
- 45.7°, 1.987 Å, rel. 348, hkl 3 -1 4
- 47.3°, 1.923 Å, rel. 291, hkl 4 1 0
- 53.8°, 1.703 Å, rel. 136, hkl 1 2 5
- 55.3°, 1.662 Å, rel. 262, hkl 4 1 3
- 56.0°, 1.642 Å, rel. 121, hkl 2 4 1

Crystal structure
Cell lengths 10.1746, 10.1746, 9.9062 Å; angles 90.00, 90.00, 120.00 degrees
Space group R-3 (No. 148, hexagonal axes)
One atom of each set of equivalent atoms:
Ag 0.0401 0.7887 0.1532 [18 per cell]
Rh 0.0000 0.0000 0.5000 [3 per cell]
F 0.0185 0.7931 0.8933 [18 per cell]
F 0.0435 0.8626 0.3929 [18 per cell]